# 1
For SrFe2P2, a PBE-relaxed structure gives the calculated powder XRD pattern in this record (Cu Ka).

Top 12 peaks for 10° ≤ 2θ ≤ 90°, by intensity:
2theta  d (Å)  I (rel.)
36.85  2.439  100
33.30  2.691  85
47.63  1.909  48
59.57  1.552  45
59.35  1.557  30
31.45  2.845  29
24.59  3.620  23
15.58  5.689  21
58.19  1.585  19
81.48  1.181  18
46.41  1.956  18
69.64  1.350  15

Atomic structure:
Lattice parameters (Å, degrees): 3.819 3.819 11.378 90.00 90.00 90.00
Space group I4/mmm (No. 139)
One atom of each set of equivalent atoms:
Sr  0.000  0.000  0.000 (multiplicity 2)
Fe  0.000  0.500  0.250 (multiplicity 4)
P  0.000  0.000  0.346 (multiplicity 4)

# 2
For AlGaCo2, a PBE-relaxed structure gives the calculated powder XRD pattern in this record (Cu Ka).

Top 8 peaks for 10° ≤ 2θ ≤ 90°, by intensity:
2theta  d (Å)  I (rel.)
44.66  2.029  100
82.31  1.171  30
65.01  1.435  15
26.91  3.313  11
52.92  1.730  5
71.68  1.317  2
31.17  2.869  2
88.54  1.104  2

Atomic structure:
Lattice parameters (Å, degrees): 5.739 5.739 5.739 90.00 90.00 90.00
Space group Fm-3m (No. 225)
One atom of each set of equivalent atoms:
Al  0.000  0.000  0.000 (multiplicity 4)
Ga  0.000  0.000  0.500 (multiplicity 4)
Co  0.250  0.250  0.250 (multiplicity 8)

# 3
For Ti3H2O7, a PBE-relaxed structure gives the calculated powder XRD pattern in this record (Cu Ka).

Top 12 peaks for 10° ≤ 2θ ≤ 90°, by intensity:
2theta  d (Å)  I (rel.)
10.95  8.079  100
24.08  3.696  34
28.90  3.089  26
15.76  5.623  17
47.92  1.898  13
42.45  2.130  10
35.54  2.526  10
28.69  3.111  10
45.79  1.982  8
56.99  1.616  6
40.45  2.230  5
32.81  2.729  5

Atomic structure:
Lattice parameters (Å, degrees): 3.797 8.410 9.402 80.24 89.98 77.27
Space group P1 (No. 1)
One atom of each set of equivalent atoms:
Ti  0.000  0.000  0.000 (multiplicity 1)
Ti  0.022  0.933  0.694 (multiplicity 1)
Ti  0.306  0.392  0.328 (multiplicity 1)
Ti  0.351  0.305  0.028 (multiplicity 1)
Ti  0.391  0.218  0.718 (multiplicity 1)
Ti  0.951  0.098  0.305 (multiplicity 1)
H  0.006  0.600  0.674 (multiplicity 1)
H  0.130  0.743  0.286 (multiplicity 1)
H  0.206  0.661  0.456 (multiplicity 1)
H  0.373  0.596  0.725 (multiplicity 1)
O  0.009  0.980  0.479 (multiplicity 1)
O  0.039  0.919  0.193 (multiplicity 1)
O  0.079  0.837  0.889 (multiplicity 1)
O  0.184  0.669  0.656 (multiplicity 1)
O  0.188  0.635  0.359 (multiplicity 1)
O  0.265  0.475  0.130 (multiplicity 1)
O  0.316  0.388  0.833 (multiplicity 1)
O  0.331  0.337  0.546 (multiplicity 1)
O  0.418  0.164  0.269 (multiplicity 1)
O  0.466  0.068  0.970 (multiplicity 1)
O  0.511  0.973  0.683 (multiplicity 1)
O  0.832  0.338  0.339 (multiplicity 1)
O  0.883  0.237  0.055 (multiplicity 1)
O  0.923  0.151  0.752 (multiplicity 1)

# 4
For Tb2Au5F21, a PBE-relaxed structure gives the calculated powder XRD pattern in this record (Cu Ka).

Top 12 peaks for 10° ≤ 2θ ≤ 90°, by intensity:
2theta  d (Å)  I (rel.)
23.87  3.727  100
26.65  3.345  57
26.29  3.389  39
22.10  4.022  37
22.36  3.976  36
24.48  3.636  36
24.11  3.691  34
26.88  3.316  26
26.53  3.360  21
19.31  4.596  21
49.59  1.838  19
30.24  2.956  17

Atomic structure:
Lattice parameters (Å, degrees): 8.108 9.195 12.143 89.01 89.23 89.22
Space group P-1 (No. 2)
One atom of each set of equivalent atoms:
Tb  0.167  0.183  0.001 (multiplicity 2)
Tb  0.171  0.317  0.497 (multiplicity 2)
Au  0.058  0.510  0.791 (multiplicity 2)
Au  0.060  0.985  0.705 (multiplicity 2)
Au  0.327  0.724  0.404 (multiplicity 2)
Au  0.334  0.776  0.094 (multiplicity 2)
Au  0.477  0.750  0.753 (multiplicity 2)
F  0.000  0.000  0.000 (multiplicity 1)
F  0.000  0.500  0.500 (multiplicity 1)
F  0.030  0.128  0.416 (multiplicity 2)
F  0.052  0.387  0.087 (multiplicity 2)
F  0.083  0.119  0.188 (multiplicity 2)
F  0.084  0.739  0.390 (multiplicity 2)
F  0.088  0.385  0.311 (multiplicity 2)
F  0.092  0.747  0.093 (multiplicity 2)
F  0.167  0.100  0.819 (multiplicity 2)
F  0.184  0.409  0.675 (multiplicity 2)
F  0.200  0.091  0.598 (multiplicity 2)
F  0.200  0.403  0.896 (multiplicity 2)
F  0.301  0.733  0.863 (multiplicity 2)
F  0.310  0.756  0.641 (multiplicity 2)
F  0.324  0.976  0.030 (multiplicity 2)
F  0.327  0.518  0.460 (multiplicity 2)
F  0.334  0.918  0.340 (multiplicity 2)
F  0.351  0.230  0.363 (multiplicity 2)
F  0.352  0.586  0.166 (multiplicity 2)
F  0.360  0.258  0.125 (multiplicity 2)
F  0.425  0.203  0.903 (multiplicity 2)
F  0.432  0.281  0.583 (multiplicity 2)

# 5
For Ca5ThF14, a PBE-relaxed structure gives the calculated powder XRD pattern in this record (Cu Ka).

Top 12 peaks for 10° ≤ 2θ ≤ 90°, by intensity:
2theta  d (Å)  I (rel.)
27.04  3.297  100
13.43  6.593  62
27.76  3.213  54
45.28  2.003  43
27.86  3.202  42
46.64  1.948  36
31.66  2.827  36
45.68  1.986  33
32.02  2.795  32
45.45  1.996  32
17.94  4.945  31
53.59  1.710  29

Atomic structure:
Lattice parameters (Å, degrees): 3.895 3.975 19.781 90.50 90.32 118.81
Space group P1 (No. 1)
One atom of each set of equivalent atoms:
Ca  0.000  0.000  0.000 (multiplicity 1)
Ca  0.004  0.980  0.520 (multiplicity 1)
Ca  0.352  0.624  0.836 (multiplicity 1)
Ca  0.672  0.383  0.161 (multiplicity 1)
Ca  0.679  0.300  0.678 (multiplicity 1)
Th  0.332  0.683  0.340 (multiplicity 1)
F  0.002  0.038  0.123 (multiplicity 1)
F  0.011  0.053  0.293 (multiplicity 1)
F  0.012  0.966  0.640 (multiplicity 1)
F  0.014  0.962  0.876 (multiplicity 1)
F  0.328  0.643  0.476 (multiplicity 1)
F  0.333  0.672  0.040 (multiplicity 1)
F  0.339  0.716  0.209 (multiplicity 1)
F  0.347  0.633  0.718 (multiplicity 1)
F  0.648  0.309  0.387 (multiplicity 1)
F  0.663  0.333  0.962 (multiplicity 1)
F  0.673  0.314  0.560 (multiplicity 1)
F  0.682  0.290  0.797 (multiplicity 1)
F  0.683  0.403  0.273 (multiplicity 1)
F  0.976  0.956  0.407 (multiplicity 1)